1.
Diffraction record for Ac2SiI. The XRD peak list is theoretical, not measured: it uses a structure optimized by DFT (GGA-PBE) and Cu Kα (λ = 1.5418 Å).

The 10 most intense peaks (5° ≤ 2θ ≤ 70°), by intensity:
2theta, intensity
28.80, 100
26.73, 66
39.73, 50
22.90, 47
51.85, 29
49.80, 22
42.59, 22
65.51, 20
31.93, 19
48.53, 14

Atomic structure:
Cell: 8.807 8.807 8.807 Å, 29.86 29.86 29.86°
Positions (direct):
Ac 0.000 0.000 0.000
Ac 0.202 0.202 0.202
Si 0.602 0.602 0.602
I 0.433 0.433 0.433

***

2.
Diffraction record for Tl5Pd. The XRD peak list is theoretical, not measured: it uses a structure optimized by DFT (GGA-PBE) and Cu Kα (λ = 1.5418 Å).

The 10 most intense peaks (5° ≤ 2θ ≤ 70°), by intensity:
2theta, intensity
30.60, 100
37.08, 67
31.98, 65
56.98, 35
35.88, 27
44.57, 24
29.61, 22
59.32, 21
33.29, 20
59.51, 16

Atomic structure:
Cell: 9.697 4.066 8.405 Å, 90.00 90.00 90.00°
Positions (direct):
Tl 0.000 0.000 0.000
Tl 0.063 0.500 0.319
Tl 0.250 0.000 0.579
Tl 0.250 0.500 0.909
Tl 0.437 0.500 0.319
Tl 0.500 0.000 0.000
Tl 0.563 0.500 0.681
Tl 0.750 0.000 0.421
Tl 0.750 0.500 0.091
Tl 0.937 0.500 0.681
Pd 0.250 0.000 0.190
Pd 0.750 0.000 0.810

***

3.
Diffraction record for Hg5AsBr2. The XRD peak list is theoretical, not measured: it uses a structure optimized by DFT (GGA-PBE) and Cu Kα (λ = 1.5418 Å).

The 10 most intense peaks (5° ≤ 2θ ≤ 70°), by intensity:
2theta, intensity
31.40, 100
36.15, 45
15.55, 26
18.23, 26
52.65, 25
36.95, 19
52.05, 14
29.87, 13
39.94, 12
62.03, 12

Atomic structure:
Cell: 6.955 6.955 6.955 Å, 119.36 119.24 91.21°
Positions (direct):
Hg 0.000 0.000 0.000
Hg 0.431 0.431 0.451
Hg 0.431 0.981 0.000
Hg 0.981 0.431 0.000
Hg 0.981 0.981 0.549
As 0.733 0.733 0.000
Br 0.441 0.941 0.500
Br 0.941 0.441 0.500

***

4.
Diffraction record for Rb3GeAu3. The XRD peak list is theoretical, not measured: it uses a structure optimized by DFT (GGA-PBE) and Cu Kα (λ = 1.5418 Å).

The 10 most intense peaks (5° ≤ 2θ ≤ 70°), by intensity:
2theta, intensity
13.69, 100
27.88, 91
28.34, 71
37.44, 47
33.10, 47
19.90, 45
32.11, 35
34.02, 32
34.51, 31
34.85, 30

Atomic structure:
Cell: 6.904 6.904 16.691 Å, 109.54 109.54 40.72°
Positions (direct):
Rb 0.008 0.008 0.388
Rb 0.101 0.101 0.921
Rb 0.253 0.253 0.227
Rb 0.747 0.747 0.773
Rb 0.899 0.899 0.079
Rb 0.992 0.992 0.612
Ge 0.274 0.274 0.602
Ge 0.726 0.726 0.398
Au 0.297 0.297 0.452
Au 0.403 0.403 0.921
Au 0.429 0.429 0.754
Au 0.571 0.571 0.246
Au 0.597 0.597 0.079
Au 0.703 0.703 0.548

***

5.
Diffraction record for B3C5. The XRD peak list is theoretical, not measured: it uses a structure optimized by DFT (GGA-PBE) and Cu Kα (λ = 1.5418 Å).

The 4 most intense peaks (5° ≤ 2θ ≤ 70°), by intensity:
2theta, intensity
41.99, 100
22.80, 4
26.98, 3
59.42, 1

Atomic structure:
Cell: 4.676 4.676 4.676 Å, 134.07 134.07 66.97°
Positions (direct):
B 0.000 0.000 0.000
B 0.250 0.750 0.500
B 0.750 0.250 0.500
C 0.143 0.143 0.516
C 0.374 0.857 0.000
C 0.500 0.500 0.000
C 0.626 0.626 0.484
C 0.857 0.374 0.000